(1)
Structure and computed powder X-ray diffraction pattern of Rb3H2I4 (a DFT-relaxed cell (GGA-PBE, Alexandria); λ = 1.5418 Å (Cu Kα)).
Peak positions follow from Bragg's law for the DFT cell and can differ from measured ones.

Atomic structure:
```
Rb3H2I4
1.0
9.202 -4.953 0.000
9.202 4.953 0.000
-0.244 0.000 8.394
Rb H I
6 4 8
direct
0.008 0.992 0.750
0.260 0.480 0.115
0.480 0.260 0.615
0.520 0.740 0.385
0.740 0.520 0.885
0.992 0.008 0.250
0.207 0.213 0.591
0.213 0.207 0.091
0.787 0.793 0.909
0.793 0.787 0.409
0.199 0.219 0.845
0.219 0.199 0.345
0.234 0.667 0.494
0.333 0.766 0.006
0.667 0.234 0.994
0.766 0.333 0.506
0.781 0.801 0.655
0.801 0.781 0.155
```

Most intense lines, 2θ from 10° to 80°, by intensity:
d_spacing	I_rel
4.362	100
3.225	85
3.449	84
3.777	70
3.202	66
3.042	63
3.802	57
3.250	52
3.156	48
4.479	45
2.602	41
1.786	41

=====

(2)
Structure and computed powder X-ray diffraction pattern of RbH6I3 (a DFT-relaxed cell (GGA-PBE, Alexandria); λ = 1.5418 Å (Cu Kα)).
Peak positions follow from Bragg's law for the DFT cell and can differ from measured ones.

Atomic structure:
```
RbH6I3
1.0
6.601 0.000 0.000
1.784 8.153 0.000
2.159 0.263 11.121
Rb H I
2 12 6
direct
0.000 0.000 0.000
0.000 0.500 0.500
0.142 0.329 0.027
0.183 0.338 0.961
0.293 0.142 0.520
0.381 0.182 0.488
0.495 0.070 0.126
0.495 0.855 0.912
0.505 0.145 0.088
0.505 0.930 0.874
0.619 0.818 0.512
0.707 0.858 0.480
0.817 0.662 0.039
0.858 0.671 0.973
0.113 0.795 0.706
0.209 0.797 0.267
0.452 0.501 0.721
0.548 0.499 0.279
0.791 0.203 0.733
0.887 0.205 0.294
```

Most intense lines, 2θ from 10° to 80°, by intensity:
d_spacing	I_rel
5.582	100
3.636	29
2.784	25
4.346	25
3.376	21
2.829	20
2.657	18
2.797	14
2.341	12
2.332	11
3.349	10
2.769	10

=====

(3)
Structure and computed powder X-ray diffraction pattern of Rb2HSI (a DFT-relaxed cell (GGA-PBE, Alexandria); λ = 1.5418 Å (Cu Kα)).
Peak positions follow from Bragg's law for the DFT cell and can differ from measured ones.

Atomic structure:
```
Rb2HSI
1.0
7.308 0.000 0.000
0.000 5.205 0.000
-1.304 0.000 9.875
Rb H S I
4 2 2 2
direct
0.221 0.250 0.358
0.258 0.250 0.902
0.742 0.750 0.098
0.779 0.750 0.642
0.367 0.750 0.231
0.633 0.250 0.769
0.234 0.750 0.123
0.766 0.250 0.877
0.276 0.750 0.633
0.724 0.250 0.367
```

Most intense lines, 2θ from 10° to 80°, by intensity:
d_spacing	I_rel
3.582	100
3.622	49
2.677	46
2.434	29
2.602	22
2.114	22
2.469	15
4.605	12
2.177	12
1.791	11
1.670	11
1.637	10

=====

(4)
Structure and computed powder X-ray diffraction pattern of Rb2ZnHI6 (a DFT-relaxed cell (GGA-PBE, Alexandria); λ = 1.5418 Å (Cu Kα)).
Peak positions follow from Bragg's law for the DFT cell and can differ from measured ones.

Atomic structure:
```
Rb2ZnHI6
1.0
-3.843 3.843 6.434
3.843 -3.843 6.434
3.843 3.843 -6.434
Rb Zn H I
2 1 1 6
direct
0.250 0.750 0.500
0.750 0.250 0.500
0.000 0.000 0.000
0.500 0.500 0.000
0.212 0.212 0.000
0.270 0.270 0.541
0.270 0.730 0.000
0.730 0.270 0.000
0.730 0.730 0.459
0.788 0.788 0.000
```

Most intense lines, 2θ from 10° to 80°, by intensity:
d_spacing	I_rel
3.299	100
2.717	42
2.076	30
3.217	29
1.660	23
1.921	14
1.650	13
1.873	11
3.321	11
2.060	11
2.512	7
1.248	7

=====

(5)
Structure and computed powder X-ray diffraction pattern of Sm6HRh2I3 (a DFT-relaxed cell (GGA-PBE, Alexandria); λ = 1.5418 Å (Cu Kα)).
Peak positions follow from Bragg's law for the DFT cell and can differ from measured ones.

Atomic structure:
```
Sm6HRh2I3
1.0
3.533 -6.095 0.000
3.533 6.095 0.000
-2.358 0.000 8.037
Sm H Rh I
6 1 2 3
direct
0.107 0.439 0.817
0.227 0.227 0.184
0.439 0.107 0.817
0.561 0.893 0.183
0.773 0.773 0.816
0.893 0.561 0.183
0.500 0.500 0.000
0.167 0.833 0.000
0.833 0.167 0.000
0.000 0.000 0.500
0.332 0.668 0.500
0.668 0.332 0.500
```

Most intense lines, 2θ from 10° to 80°, by intensity:
d_spacing	I_rel
3.043	100
2.038	26
2.846	25
2.290	16
2.679	13
2.032	13
1.691	12
1.622	12
2.464	10
1.641	9
2.293	8
1.861	7

=====

(6)
Structure and computed powder X-ray diffraction pattern of HRuI (a DFT-relaxed cell (GGA-PBE, Alexandria); λ = 1.5418 Å (Cu Kα)).
Peak positions follow from Bragg's law for the DFT cell and can differ from measured ones.

Atomic structure:
```
HRuI
1.0
6.845 -2.272 0.000
6.845 2.272 0.000
-6.194 0.000 12.154
H Ru I
6 6 6
direct
0.183 0.817 0.500
0.404 0.858 0.187
0.505 0.950 0.686
0.817 0.183 0.000
0.858 0.404 0.687
0.950 0.505 0.186
0.258 0.776 0.051
0.341 0.810 0.627
0.610 0.874 0.165
0.776 0.258 0.551
0.810 0.341 0.127
0.874 0.610 0.665
0.110 0.526 0.877
0.478 0.797 0.950
0.526 0.110 0.377
0.797 0.478 0.450
0.915 0.967 0.693
0.967 0.915 0.193
```

Most intense lines, 2θ from 10° to 80°, by intensity:
d_spacing	I_rel
3.204	100
4.233	84
3.570	62
3.780	57
3.035	54
6.082	50
2.108	48
2.913	44
2.262	37
4.258	34
2.318	33
2.117	31

=====

(7)
Structure and computed powder X-ray diffraction pattern of TeHRu2I (a DFT-relaxed cell (GGA-PBE, Alexandria); λ = 1.5418 Å (Cu Kα)).
Peak positions follow from Bragg's law for the DFT cell and can differ from measured ones.

Atomic structure:
```
TeHRu2I
1.0
5.035 0.000 0.000
0.000 5.035 0.000
0.000 0.000 3.551
Te H Ru I
1 1 2 1
direct
0.000 0.000 0.000
0.500 0.500 0.000
0.000 0.500 0.500
0.500 0.000 0.500
0.500 0.500 0.500
```

Most intense lines, 2θ from 10° to 80°, by intensity:
d_spacing	I_rel
2.517	100
2.902	62
1.902	36
1.451	25
1.780	25
3.551	20
2.054	16
1.257	15
1.775	12
1.300	10
1.453	10
1.517	9

=====

(8)
Structure and computed powder X-ray diffraction pattern of HS5I (a DFT-relaxed cell (GGA-PBE, Alexandria); λ = 1.5418 Å (Cu Kα)).
Peak positions follow from Bragg's law for the DFT cell and can differ from measured ones.

Atomic structure:
```
HS5I
1.0
4.338 0.000 0.000
0.393 7.628 0.000
2.016 2.636 7.244
H S I
1 5 1
direct
0.000 0.000 0.000
0.028 0.588 0.432
0.054 0.220 0.150
0.287 0.450 0.620
0.338 0.130 0.307
0.614 0.651 0.593
0.855 0.865 0.913
```

Most intense lines, 2θ from 10° to 80°, by intensity:
d_spacing	I_rel
4.399	100
3.765	71
3.798	65
3.228	38
3.683	33
3.289	32
7.169	29
2.935	22
3.560	20
3.827	19
3.162	19
1.981	17

=====

(9)
Structure and computed powder X-ray diffraction pattern of H3SI2 (a DFT-relaxed cell (GGA-PBE, Alexandria); λ = 1.5418 Å (Cu Kα)).
Peak positions follow from Bragg's law for the DFT cell and can differ from measured ones.

Atomic structure:
```
H3SI2
1.0
6.040 -3.580 0.000
6.040 3.580 0.000
0.000 0.000 7.512
H S I
6 2 4
direct
0.249 0.751 0.500
0.320 0.521 0.686
0.479 0.680 0.686
0.521 0.320 0.186
0.680 0.479 0.186
0.751 0.249 0.000
0.254 0.746 0.683
0.746 0.254 0.183
0.146 0.585 0.181
0.415 0.854 0.181
0.585 0.146 0.681
0.854 0.415 0.681
```

Most intense lines, 2θ from 10° to 80°, by intensity:
d_spacing	I_rel
3.180	100
4.763	75
3.756	57
3.580	43
2.591	35
2.038	27
1.980	19
2.354	17
3.020	17
1.967	17
2.308	13
2.190	13

=====

(10)
Structure and computed powder X-ray diffraction pattern of H4S2I (a DFT-relaxed cell (GGA-PBE, Alexandria); λ = 1.5418 Å (Cu Kα)).
Peak positions follow from Bragg's law for the DFT cell and can differ from measured ones.

Atomic structure:
```
H4S2I
1.0
3.953 -10.005 0.000
3.953 10.005 0.000
-3.574 0.000 3.936
H S I
8 4 2
direct
0.042 0.958 0.500
0.311 0.396 0.353
0.396 0.311 0.853
0.473 0.896 0.368
0.473 0.896 0.999
0.896 0.473 0.499
0.896 0.473 0.868
0.958 0.042 0.000
0.172 0.182 0.677
0.182 0.172 0.177
0.426 0.946 0.185
0.946 0.426 0.685
0.562 0.793 0.676
0.793 0.562 0.176
```

Most intense lines, 2θ from 10° to 80°, by intensity:
d_spacing	I_rel
3.662	100
4.157	78
3.304	53
4.399	50
2.393	32
2.927	31
2.071	29
2.544	28
5.618	24
2.658	24
3.197	18
1.968	18

=====

(11)
Structure and computed powder X-ray diffraction pattern of H6S3I2 (a DFT-relaxed cell (GGA-PBE, Alexandria); λ = 1.5418 Å (Cu Kα)).
Peak positions follow from Bragg's law for the DFT cell and can differ from measured ones.

Atomic structure:
```
H6S3I2
1.0
7.479 -2.793 0.000
7.479 2.793 0.000
-2.479 0.000 16.144
H S I
12 6 4
direct
0.017 0.020 0.195
0.020 0.017 0.695
0.162 0.368 0.718
0.167 0.503 0.186
0.368 0.162 0.218
0.497 0.833 0.314
0.503 0.167 0.686
0.632 0.838 0.782
0.833 0.497 0.814
0.838 0.632 0.282
0.980 0.983 0.305
0.983 0.980 0.805
0.166 0.834 0.250
0.171 0.331 0.163
0.331 0.171 0.663
0.669 0.829 0.337
0.829 0.669 0.837
0.834 0.166 0.750
0.223 0.723 0.504
0.277 0.777 0.996
0.723 0.223 0.004
0.777 0.277 0.496
```

Most intense lines, 2θ from 10° to 80°, by intensity:
d_spacing	I_rel
7.392	100
8.072	89
5.917	81
5.081	65
3.696	63
3.793	50
3.336	39
4.036	39
2.638	36
2.612	33
2.526	29
3.516	29

=====

(12)
Structure and computed powder X-ray diffraction pattern of H2S4I3 (a DFT-relaxed cell (GGA-PBE, Alexandria); λ = 1.5418 Å (Cu Kα)).
Peak positions follow from Bragg's law for the DFT cell and can differ from measured ones.

Atomic structure:
```
H2S4I3
1.0
4.298 -4.944 0.000
4.298 4.944 0.000
-2.523 0.000 15.080
H S I
4 8 6
direct
0.135 0.195 0.420
0.195 0.135 0.920
0.805 0.865 0.080
0.865 0.805 0.580
0.182 0.248 0.000
0.248 0.182 0.500
0.363 0.487 0.533
0.487 0.363 0.033
0.513 0.637 0.967
0.637 0.513 0.467
0.752 0.818 0.500
0.818 0.752 0.000
0.034 0.617 0.728
0.228 0.772 0.250
0.383 0.966 0.772
0.617 0.034 0.228
0.772 0.228 0.750
0.966 0.383 0.272
```

Most intense lines, 2θ from 10° to 80°, by intensity:
d_spacing	I_rel
4.135	100
7.540	50
3.770	42
2.603	23
2.567	22
2.751	19
4.944	18
2.090	13
2.162	13
2.240	11
2.998	10
2.246	9